Record 1
Diffraction record for CePr6Er3. The X-ray powder pattern is calculated, not measured: it uses a DFT-relaxed cell (PBE, Alexandria) and CuKα.
Intensities are scaled so that the largest is 100.

The 10 most intense peaks (10° ≤ 2θ ≤ 90°), in order of falling intensity:
31.1°, I = 100
28.6°, I = 61
53.8°, I = 20
42.7°, I = 20
55.2°, I = 19
31.6°, I = 19
40.9°, I = 17
48.6°, I = 13
64.7°, I = 12
56.0°, I = 11

Cell: 7.012 7.012 7.012 Å, 90.70 90.70 90.70°
Fractional coordinates of all 10 atoms:
Ce: 0.000 0.000 0.000
Pr: 0.000 0.323 0.677
Pr: 0.173 0.827 0.500
Pr: 0.323 0.677 0.000
Pr: 0.500 0.173 0.827
Pr: 0.677 0.000 0.323
Pr: 0.827 0.500 0.173
Er: 0.249 0.249 0.249
Er: 0.500 0.500 0.500
Er: 0.751 0.751 0.751

Record 2
Diffraction record for CePr8Er5. The X-ray powder pattern is calculated, not measured: it uses a DFT-relaxed cell (PBE, Alexandria) and CuKα.
Intensities are scaled so that the largest is 100.

The 10 most intense peaks (10° ≤ 2θ ≤ 90°), in order of falling intensity:
29.1°, I = 100
28.9°, I = 84
32.3°, I = 80
32.1°, I = 70
35.8°, I = 61
29.9°, I = 47
29.8°, I = 39
30.9°, I = 35
28.6°, I = 32
55.8°, I = 28

Cell: 7.839 7.839 10.150 Å, 118.04 118.04 76.20°
Fractional coordinates of all 14 atoms:
Ce: 0.000 0.000 0.000
Pr: 0.029 0.108 0.711
Pr: 0.123 0.527 0.063
Pr: 0.260 0.256 0.438
Pr: 0.473 0.877 0.937
Pr: 0.510 0.185 0.800
Pr: 0.744 0.740 0.562
Pr: 0.815 0.490 0.200
Pr: 0.892 0.971 0.289
Er: 0.146 0.541 0.743
Er: 0.274 0.726 0.500
Er: 0.459 0.854 0.257
Er: 0.506 0.311 0.267
Er: 0.689 0.494 0.733

Record 3
Diffraction record for CePr4Er4. The X-ray powder pattern is calculated, not measured: it uses a DFT-relaxed cell (PBE, Alexandria) and CuKα.
Intensities are scaled so that the largest is 100.

The 10 most intense peaks (10° ≤ 2θ ≤ 90°), in order of falling intensity:
30.4°, I = 100
35.2°, I = 51
50.7°, I = 36
60.2°, I = 29
82.5°, I = 18
60.3°, I = 14
63.2°, I = 12
85.1°, I = 11
85.3°, I = 5
74.4°, I = 4

Cell: 8.062 8.062 8.062 Å, 95.72 95.72 143.21°
Fractional coordinates of all 9 atoms:
Ce: 0.000 0.000 0.000
Pr: 0.335 0.335 0.670
Pr: 0.335 0.665 0.000
Pr: 0.665 0.335 0.000
Pr: 0.665 0.665 0.330
Er: 0.000 0.336 0.336
Er: 0.000 0.664 0.664
Er: 0.336 0.000 0.336
Er: 0.664 0.000 0.664

What did the third record say?
Diffraction record for CePr4Er4. The X-ray powder pattern is calculated, not measured: it uses a DFT-relaxed cell (PBE, Alexandria) and CuKα.
Intensities are scaled so that the largest is 100.

The 10 most intense peaks (10° ≤ 2θ ≤ 90°), in order of falling intensity:
30.4°, I = 100
35.2°, I = 51
50.7°, I = 36
60.2°, I = 29
82.5°, I = 18
60.3°, I = 14
63.2°, I = 12
85.1°, I = 11
85.3°, I = 5
74.4°, I = 4

Cell: 8.062 8.062 8.062 Å, 95.72 95.72 143.21°
Fractional coordinates of all 9 atoms:
Ce: 0.000 0.000 0.000
Pr: 0.335 0.335 0.670
Pr: 0.335 0.665 0.000
Pr: 0.665 0.335 0.000
Pr: 0.665 0.665 0.330
Er: 0.000 0.336 0.336
Er: 0.000 0.664 0.664
Er: 0.336 0.000 0.336
Er: 0.664 0.000 0.664

Please write out number 2 again, unchanged.
Diffraction record for CePr8Er5. The X-ray powder pattern is calculated, not measured: it uses a DFT-relaxed cell (PBE, Alexandria) and CuKα.
Intensities are scaled so that the largest is 100.

The 10 most intense peaks (10° ≤ 2θ ≤ 90°), in order of falling intensity:
29.1°, I = 100
28.9°, I = 84
32.3°, I = 80
32.1°, I = 70
35.8°, I = 61
29.9°, I = 47
29.8°, I = 39
30.9°, I = 35
28.6°, I = 32
55.8°, I = 28

Cell: 7.839 7.839 10.150 Å, 118.04 118.04 76.20°
Fractional coordinates of all 14 atoms:
Ce: 0.000 0.000 0.000
Pr: 0.029 0.108 0.711
Pr: 0.123 0.527 0.063
Pr: 0.260 0.256 0.438
Pr: 0.473 0.877 0.937
Pr: 0.510 0.185 0.800
Pr: 0.744 0.740 0.562
Pr: 0.815 0.490 0.200
Pr: 0.892 0.971 0.289
Er: 0.146 0.541 0.743
Er: 0.274 0.726 0.500
Er: 0.459 0.854 0.257
Er: 0.506 0.311 0.267
Er: 0.689 0.494 0.733